Simulated powder XRD pattern of GeWO4 for Cu Kα X-rays, from a structure optimized by DFT (GGA+U).
No peak broadening, texture or thermal motion is included.

Crystal structure
Cell lengths 5.0969, 6.0422, 5.1698 Å; angles 90.00, 91.12, 90.00 degrees
Space group P2/c (No. 13)
Symmetry-distinct sites (fractional):
Ge 0.0000 0.1916 0.2500 (multiplicity 2)
W 0.5000 0.3298 0.7500 (multiplicity 2)
O 0.2578 0.1360 0.6133 (multiplicity 4)
O 0.2957 0.4022 0.0575 (multiplicity 4)

Peak list (6 most intense, 10 to 90 degrees two-theta, by intensity)
| hkl | d/Å | I/Imax |
| --- | --- | --- |
| 1 1 -1 | 3.133 | 1000 |
| 1 1 1 | 3.089 | 932 |
| 1 1 0 | 3.895 | 482 |
| 1 0 0 | 5.096 | 417 |
| 2 0 -2 | 1.832 | 362 |
| 0 2 1 | 2.608 | 335 |